(1)
# Pm3Te5
Calculated powder XRD pattern, Cu Kα (weighted mean of Kα1 and Kα2). Input: DFT lattice parameters and positions (PBE).
Lines closer than 0.1° are merged.

Principal peaks in the range 2θ from 10° to 90°, in order of falling intensity:
- 2θ = 32.20°, d 2.780, I = 100, (3 0 0)
- 2θ = 34.17°, d 2.624, I = 87, (1 1 2)
- 2θ = 31.79°, d 2.815, I = 57, (2 1 1)
- 2θ = 47.66°, d 1.908, I = 27, (2 2 2)
- 2θ = 68.85°, d 1.364, I = 22, (3 0 4)
- 2θ = 28.52°, d 3.130, I = 19, (0 0 2)
- 2θ = 10.61°, d 8.339, I = 18, (1 0 0)
- 2θ = 58.69°, d 1.573, I = 17, (4 1 2)
- 2θ = 41.63°, d 2.169, I = 17, (3 1 1)
- 2θ = 43.55°, d 2.078, I = 16, (3 0 2)

Cell and atoms:
```
data_Pm3Te5
_cell_length_a 9.6286
_cell_length_b 9.6286
_cell_length_c 6.2598
_cell_angle_alpha 90.00
_cell_angle_beta 90.00
_cell_angle_gamma 120.00
_symmetry_space_group_name_H-M 'P 63/m c m'
_symmetry_Int_Tables_number 193
_symmetry_space_group_name_Hall '-P 6c 2'
loop_
_atom_site_label
_atom_site_type_symbol
_atom_site_fract_x
_atom_site_fract_y
_atom_site_fract_z
Pm1 Pm 0.0000 0.3708 0.2500
Te1 Te 0.0000 0.2780 0.7500
Te2 Te 0.3333 0.6667 0.0000
```

=====

(2)
# PrHo7Th2
Calculated powder XRD pattern, Cu Kα (weighted mean of Kα1 and Kα2). Input: DFT lattice parameters and positions (PBE).
Lines closer than 0.1° are merged.

Principal peaks in the range 2θ from 10° to 90°, in order of falling intensity:
- 2θ = 32.86°, d 2.726, I = 100, (1 3 1)
- 2θ = 32.17°, d 2.783, I = 55, (4 0 0)
- 2θ = 46.13°, d 1.968, I = 20, (2 0 2)
- 2θ = 57.73°, d 1.597, I = 20, (5 3 1)
- 2θ = 57.85°, d 1.594, I = 20, (5 3 -3)
- 2θ = 23.94°, d 3.718, I = 18, (1 1 1)
- 2θ = 59.10°, d 1.563, I = 17, (4 6 0)
- 2θ = 68.90°, d 1.363, I = 11, (2 6 2)
- 2θ = 15.90°, d 5.573, I = 9, (2 0 0)
- 2θ = 48.16°, d 1.890, I = 8, (0 6 0)

Cell and atoms:
```
data_PrHo7Th2
_cell_length_a 12.445
_cell_length_b 11.337
_cell_length_c 5.557
_cell_angle_alpha 90.00
_cell_angle_beta 116.41
_cell_angle_gamma 90.00
_symmetry_space_group_name_H-M 'C 1 2/m 1'
_symmetry_Int_Tables_number 12
_symmetry_space_group_name_Hall '-C 2y'
loop_
_atom_site_label
_atom_site_type_symbol
_atom_site_fract_x
_atom_site_fract_y
_atom_site_fract_z
Pr1 Pr 0.000 0.000 0.000
Ho1 Ho 0.000 0.336 0.000
Ho2 Ho 0.000 0.500 0.500
Ho3 Ho 0.247 0.349 0.747
Th1 Th 0.000 0.157 0.500
```

=====

(3)
# TlGe2Au3
Calculated powder XRD pattern, Cu Kα (weighted mean of Kα1 and Kα2). Input: DFT lattice parameters and positions (PBE).
Lines closer than 0.1° are merged.

Principal peaks in the range 2θ from 10° to 90°, in order of falling intensity:
- 2θ = 29.59°, d 3.019, I = 100, (1 2 1)
- 2θ = 28.36°, d 3.147, I = 61, (0 4 0)
- 2θ = 37.50°, d 2.398, I = 40, (2 0 0)
- 2θ = 50.99°, d 1.791, I = 32, (1 6 1)
- 2θ = 47.68°, d 1.908, I = 30, (2 4 0)
- 2θ = 41.12°, d 2.195, I = 27, (1 0 2)
- 2θ = 26.86°, d 3.319, I = 27, (1 1 1)
- 2θ = 22.89°, d 3.885, I = 20, (0 2 1)
- 2θ = 50.71°, d 1.800, I = 18, (1 4 2)
- 2θ = 43.67°, d 2.073, I = 18, (1 2 2)

Cell and atoms:
```
data_TlGe2Au3
_cell_length_a 4.797
_cell_length_b 12.587
_cell_length_c 4.937
_cell_angle_alpha 90.00
_cell_angle_beta 90.00
_cell_angle_gamma 90.00
_symmetry_space_group_name_H-M 'P m m n'
_symmetry_Int_Tables_number 59
loop_
_symmetry_equiv_pos_as_xyz
'x,y,z'
'-x,-y,-z'
'-x+1/2,-y+1/2,z'
'x+1/2,y+1/2,-z'
'x+1/2,-y,-z'
'-x+1/2,y,z'
'-x,y+1/2,-z'
'x,-y+1/2,z'
loop_
_atom_site_label
_atom_site_type_symbol
_atom_site_fract_x
_atom_site_fract_y
_atom_site_fract_z
Tl1 Tl 0.250 0.250 0.209
Ge1 Ge 0.250 0.552 0.356
Au1 Au 0.250 0.014 0.849
Au2 Au 0.250 0.750 0.385
```

=====

(4)
# UGaCl5
Calculated powder XRD pattern, Cu Kα (weighted mean of Kα1 and Kα2). Input: DFT lattice parameters and positions (PBE).
Lines closer than 0.1° are merged.

Principal peaks in the range 2θ from 10° to 90°, in order of falling intensity:
- 2θ = 19.81°, d 4.482, I = 100, (1 1 -2)
- 2θ = 16.18°, d 5.478, I = 81, (2 0 0)
- 2θ = 13.02°, d 6.799, I = 76, (1 1 0)
- 2θ = 20.49°, d 4.335, I = 40, (0 2 0)
- 2θ = 38.91°, d 2.315, I = 38, (4 2 0)
- 2θ = 35.48°, d 2.530, I = 30, (1 3 -2)
- 2θ = 32.69°, d 2.739, I = 25, (4 0 0)
- 2θ = 25.38°, d 3.509, I = 22, (3 1 -2)
- 2θ = 26.21°, d 3.399, I = 21, (2 2 0)
- 2θ = 34.25°, d 2.618, I = 21, (2 0 -4)

Cell and atoms:
```
data_UGaCl5
_cell_length_a 12.275
_cell_length_b 8.670
_cell_length_c 10.476
_cell_angle_alpha 90.00
_cell_angle_beta 116.80
_cell_angle_gamma 90.00
_symmetry_space_group_name_H-M 'C 1 2/c 1'
_symmetry_Int_Tables_number 15
_symmetry_space_group_name_Hall '-C 2yc'
loop_
_atom_site_label
_atom_site_type_symbol
_atom_site_fract_x
_atom_site_fract_y
_atom_site_fract_z
U1 U 0.000 0.000 0.000
Ga1 Ga 0.000 0.490 0.250
Cl1 Cl 0.000 0.091 0.250
Cl2 Cl 0.050 0.286 0.968
Cl3 Cl 0.229 0.061 0.633
```